Structure and calculated X-ray powder pattern of CrGa2N3 (a cell relaxed with GGA-PBE; Cu Kα).

Structural model:
Cell lengths 9.650, 5.612, 5.210 Å; angles 90.00, 90.00, 90.00 degrees
Space group Cmc2_1 (No. 36)
One atom of each set of equivalent atoms:
Cr  0.000  0.153  0.000 x4
Ga  0.168  0.338  0.497 x8
N  0.000  0.174  0.628 x4
N  0.166  0.333  0.120 x8

Largest 10 diffraction maxima, most intense first, 2θ = 10–80°:
2theta	Rel. int.	index
36.53	100	3 1 1
36.37	60	0 2 1
34.42	58	0 0 2
32.07	55	3 1 0
56.95	32	3 3 0
63.04	31	3 1 3
68.27	27	3 3 2
47.76	25	3 1 2
31.90	19	0 2 0
62.94	18	0 2 3



Structure and calculated X-ray powder pattern of Ca3Ir3N5 (a cell relaxed with GGA-PBE; Cu Kα).

Structural model:
Cell lengths 6.679, 6.723, 8.177 Å; angles 73.84, 72.19, 76.61 degrees
Space group P-1 (No. 2)
One atom of each set of equivalent atoms:
Ca  0.064  0.153  0.289 x2
Ca  0.144  0.330  0.652 x2
Ca  0.435  0.860  0.889 x2
Ir  0.216  0.500  0.956 x2
Ir  0.393  0.854  0.530 x2
Ir  0.398  0.664  0.263 x2
N  0.160  0.778  0.435 x2
N  0.211  0.612  0.141 x2
N  0.324  0.214  0.904 x2
N  0.340  0.155  0.400 x2
N  0.351  0.564  0.695 x2

Largest 10 diffraction maxima, most intense first, 2θ = 10–80°:
2theta	Rel. int.	index
20.10	100	0 1 -1
14.11	89	1 0 0
33.79	61	2 -1 0
32.83	61	0 2 -1
34.65	47	1 0 3
23.75	40	1 1 2
35.74	39	2 1 -1
35.12	38	0 1 3
13.89	35	0 1 0
42.30	34	-1 1 3



Structure and calculated X-ray powder pattern of Ti2S3 (a cell relaxed with GGA-PBE; Cu Kα).

Structural model:
Cell lengths 10.389, 5.967, 11.812 Å; angles 90.00, 106.94, 90.00 degrees
Space group C2/c (No. 15)
One atom of each set of equivalent atoms:
Ti  0.045  0.082  0.382 x8
Ti  0.123  0.416  0.620 x8
S  0.000  0.414  0.250 x4
S  0.090  0.252  0.000 x8
S  0.165  0.081  0.748 x8
S  0.250  0.250  0.500 x4

Largest 10 diffraction maxima, most intense first, 2θ = 10–80°:
2theta	Rel. int.	index
38.40	100	3 1 2
33.88	64	3 1 -3
53.10	57	3 3 -1
38.49	49	0 2 3
17.88	39	2 0 0
21.62	31	1 1 -2
33.98	31	0 2 2
44.07	29	3 1 3
52.88	29	6 0 -2
50.60	28	3 1 -6



Structure and calculated X-ray powder pattern of Y5Bi3 (a cell relaxed with GGA-PBE; Cu Kα).

Structural model:
Cell lengths 8.284, 9.521, 12.124 Å; angles 90.00, 90.00, 90.00 degrees
Space group Pnma (No. 62)
One atom of each set of equivalent atoms:
Y  0.027  0.250  0.011 x4
Y  0.146  0.750  0.285 x4
Y  0.186  0.250  0.281 x4
Y  0.194  0.063  0.560 x8
Bi  0.066  0.004  0.826 x8
Bi  0.090  0.750  0.542 x4

Largest 10 diffraction maxima, most intense first, 2θ = 10–80°:
2theta	Rel. int.	index
30.96	100	1 2 3
32.23	92	2 2 2
29.52	89	2 2 1
22.74	71	1 2 1
31.43	65	1 0 4
24.51	58	1 0 3
59.65	58	3 4 4
40.61	54	3 2 2
37.79	53	0 4 0
44.37	42	3 0 4



> What is the formula in the fourth record?

Y5Bi3